# Rb2S2O7
Theoretical powder diffractogram, Cu Kα X-rays. Input: a DFT-relaxed cell (PBE, the Materials Project).

Most intense lines, 2θ = 15–90°, by intensity:
- 22.95°, d 3.875, I 1000, (0 2 0)
- 26.72°, d 3.336, I 914, (2 0 -4)
- 26.92°, d 3.312, I 907, (0 0 4)
- 26.48°, d 3.366, I 824, (2 0 0)
- 25.71°, d 3.465, I 725, (1 2 -1)
- 29.14°, d 3.064, I 579, (2 1 -4)
- 25.81°, d 3.452, I 479, (1 1 2)
- 26.62°, d 3.348, I 432, (1 2 -2)
- 37.37°, d 2.406, I 426, (0 3 2)
- 44.13°, d 2.052, I 325, (3 2 -1)

Cell and atoms:
```
data_Rb2S2O7
_chemical_formula_sum 'Rb8 S8 O28'
_space_group_name_H-M_alt 'P 1 21/c 1'
_space_group_IT_number 14
_cell_length_a 7.7699
_cell_length_b 7.7420
_cell_length_c 15.2922
_cell_angle_alpha 90.00
_cell_angle_beta 119.96
_cell_angle_gamma 90.00
loop_
_space_group_symop_operation_xyz
'x,y,z'
'-x,-y,-z'
'-x,y+1/2,-z+1/2'
'x,-y+1/2,z+1/2'
loop_
_atom_site_label
_atom_site_fract_x
_atom_site_fract_y
_atom_site_fract_z
Rb1 0.1770 0.2258 0.3693
Rb2 0.2978 0.1231 0.6570
S1 0.2610 0.6737 0.5795
S2 0.2669 0.7241 0.3876
O1 0.0851 0.7164 0.0415
O2 0.0911 0.6653 0.8485
O3 0.2510 0.5133 0.6260
O4 0.2531 0.5918 0.3164
O5 0.2651 0.5984 0.4768
O6 0.4466 0.7301 0.1377
O7 0.4532 0.6806 0.9365
```